Computed powder X-ray diffraction pattern
Compound: Ca2Cu15Pt2
Radiation: Cu Kα (λ = 1.5418 Å)
Structure: DFT lattice parameters and positions (PBE)

Crystal structure
```
data_Ca2Cu15Pt2
_symmetry_space_group_name_H-M 'R -3 m'
_symmetry_Int_Tables_number 166
_symmetry_space_group_name_Hall '-R 3 2"'
_cell_length_a 8.6817
_cell_length_b 8.6817
_cell_length_c 12.5454
_cell_angle_alpha 90.00
_cell_angle_beta 90.00
_cell_angle_gamma 120.00
loop_
_atom_site_label
_atom_site_type_symbol
_atom_site_fract_x
_atom_site_fract_y
_atom_site_fract_z
_atom_site_occupancy
Ca1 Ca 0.0000 0.0000 0.1576 1
Cu1 Cu 0.0000 0.2927 0.5000 1
Cu2 Cu 0.0000 0.5000 0.0000 1
Cu3 Cu 0.9999 0.4999 0.3486 1
Pt1 Pt 0.0000 0.0000 0.3931 1
```

The 10 most intense peaks (15° ≤ 2θ ≤ 90°), by angle:
d/Å, I/Imax
2.506, 54
2.408, 52
2.170, 83
2.150, 39
2.106, 32
2.088, 60
1.926, 100
1.883, 56
1.253, 26
1.218, 25